[1]
Simulated XRD peak list
Compound: NiBiPt2O8
Radiation: Cu Kα (λ = 1.5418 Å)
Structure: DFT lattice parameters and positions (GGA+U)

Main lines, by angle (5° ≤ 2θ ≤ 70°):
- 13.59 deg, intensity 44, hkl 0 0 1
- 24.15 deg, intensity 98, hkl 1 0 1
- 27.38 deg, intensity 50, hkl 0 0 2
- 34.78 deg, intensity 81, hkl 1 1 0
- 37.50 deg, intensity 13, hkl 2 -1 1
- 42.79 deg, intensity 23, hkl 2 0 1
- 44.82 deg, intensity 100, hkl 2 -1 2
- 46.50 deg, intensity 18, hkl 1 0 3
- 56.28 deg, intensity 21, hkl 3 -1 1
- 62.35 deg, intensity 21, hkl 3 0 0
- 68.09 deg, intensity 28, hkl 1 1 4
- 69.39 deg, intensity 22, hkl 3 0 2

Structure:
Unit cell a=5.1591 b=5.1591 c=6.5139 alpha=90.00 beta=90.00 gamma=120.00
Space group P-31m (No. 162)
Symmetry-distinct sites (fractional):
Ni  0.0000  0.0000  0.0000
Bi  0.0000  0.0000  0.5000
Pt  0.3333  0.6667  0.0000
O  0.0000  0.3347  0.1673
O  0.3333  0.6667  0.5000



[2]
Simulated XRD peak list
Compound: NiBi2RhO6
Radiation: Cu Kα (λ = 1.5418 Å)
Structure: DFT lattice parameters and positions (GGA+U)

Main lines, by angle (5° ≤ 2θ ≤ 70°):
- 22.34 deg, intensity 16, hkl 1 1 -1
- 25.13 deg, intensity 16, hkl 1 1 0
- 30.80 deg, intensity 21, hkl 0 2 0
- 32.15 deg, intensity 100, hkl 1 1 1
- 32.77 deg, intensity 26, hkl 2 0 -2
- 32.93 deg, intensity 11, hkl 0 2 1
- 45.59 deg, intensity 18, hkl 2 2 -2
- 46.63 deg, intensity 13, hkl 0 0 4
- 47.14 deg, intensity 11, hkl 2 2 -3
- 51.45 deg, intensity 16, hkl 1 3 0
- 58.11 deg, intensity 28, hkl 3 1 -1
- 67.26 deg, intensity 10, hkl 2 2 2

Structure:
Unit cell a=5.466 b=5.806 c=9.512 alpha=90.00 beta=125.01 gamma=90.00
Space group P2_1/c (No. 14)
Symmetry-distinct sites (fractional):
Ni  0.000  0.000  0.000
Bi  0.244  0.061  0.757
Rh  0.500  0.000  0.500
O  0.139  0.193  0.443
O  0.282  0.692  0.458
O  0.363  0.041  0.252



[3]
Simulated XRD peak list
Compound: Sr5Ni2BiO10
Radiation: Cu Kα (λ = 1.5418 Å)
Structure: DFT lattice parameters and positions (GGA+U)

Main lines, by angle (5° ≤ 2θ ≤ 70°):
- 17.31 deg, intensity 13, hkl 1 0 1
- 25.54 deg, intensity 24, hkl 1 1 2
- 29.48 deg, intensity 14, hkl 0 0 6
- 30.78 deg, intensity 100, hkl 1 1 4
- 33.56 deg, intensity 72, hkl 2 0 0
- 39.66 deg, intensity 16, hkl 0 0 8
- 45.26 deg, intensity 29, hkl 2 0 6
- 48.19 deg, intensity 34, hkl 2 2 0
- 52.91 deg, intensity 18, hkl 2 0 8
- 56.15 deg, intensity 12, hkl 1 1 10
- 58.28 deg, intensity 34, hkl 3 1 4
- 64.12 deg, intensity 14, hkl 2 2 8

Structure:
Unit cell a=5.341 b=5.341 c=18.180 alpha=90.00 beta=90.00 gamma=90.00
Space group I4/mmm (No. 139)
Symmetry-distinct sites (fractional):
Sr  0.000  0.000  0.000
Sr  0.000  0.500  0.150
Ni  0.000  0.000  0.243
Bi  0.000  0.000  0.500
O  0.000  0.000  0.132
O  0.000  0.000  0.379
O  0.000  0.500  0.000
O  0.250  0.250  0.250



[4]
Simulated XRD peak list
Compound: NiBi2TeO8
Radiation: Cu Kα (λ = 1.5418 Å)
Structure: DFT lattice parameters and positions (GGA+U)

Main lines, by angle (5° ≤ 2θ ≤ 70°):
- 17.98 deg, intensity 27, hkl 1 1 0
- 25.30 deg, intensity 58, hkl 0 2 0
- 25.77 deg, intensity 53, hkl 2 0 0
- 32.11 deg, intensity 100, hkl 1 1 2
- 36.42 deg, intensity 29, hkl 2 2 0
- 37.21 deg, intensity 13, hkl 2 0 2
- 49.06 deg, intensity 41, hkl 1 3 2
- 49.60 deg, intensity 37, hkl 3 1 2
- 59.58 deg, intensity 10, hkl 4 2 0
- 60.82 deg, intensity 10, hkl 0 2 4
- 62.85 deg, intensity 22, hkl 3 3 2
- 67.16 deg, intensity 11, hkl 2 2 4

Structure:
Unit cell a=6.915 b=7.042 c=6.757 alpha=90.00 beta=90.00 gamma=90.00
Space group Cmmm (No. 65)
Symmetry-distinct sites (fractional):
Ni  0.000  0.000  0.000
Bi  0.000  0.500  0.243
Te  0.000  0.000  0.500
O  0.000  0.179  0.275
O  0.207  0.500  0.000
O  0.215  0.500  0.500